No. 1
Calculated XRD peak list of LaPrBiO2 for Cu Ka, from a DFT-relaxed cell (PBE, Alexandria).
Lines closer than 0.1° are merged.

Top 10 peaks for 5 to 70 degrees two-theta, low angle first:
Position (°2θ), Rel. int.
28.88, 100
31.03, 36
33.55, 3
37.94, 11
44.46, 18
49.80, 25
53.89, 36
59.84, 12
63.07, 11
64.70, 6

Structure:
```
LaPrBiO2
1.0
-2.038 2.038 7.115
2.038 -2.038 7.115
2.038 2.038 -7.115
La Pr Bi O
1 1 1 2
Direct
0.000 0.000 0.000
0.669 0.669 0.000
0.332 0.332 0.000
0.084 0.584 0.500
0.584 0.084 0.500
```

***

No. 2
Calculated XRD peak list of SrLaBi2O8 for Cu Ka, from a DFT-relaxed cell (PBE, Alexandria).
Lines closer than 0.1° are merged.

Top 10 peaks for 5 to 70 degrees two-theta, low angle first:
Position (°2θ), Rel. int.
17.42, 14
27.05, 100
30.78, 13
31.61, 22
44.70, 33
45.30, 16
52.49, 16
53.56, 33
55.77, 11
66.00, 5

Structure:
```
SrLaBi2O8
1.0
-2.831 2.831 5.810
2.831 -2.831 5.810
2.831 2.831 -5.810
Sr La Bi O
1 1 2 8
Direct
0.000 0.000 0.000
0.250 0.750 0.500
0.500 0.500 0.000
0.750 0.250 0.500
0.044 0.106 0.464
0.216 0.646 0.055
0.354 0.409 0.570
0.420 0.956 0.062
0.591 0.160 0.945
0.642 0.580 0.536
0.840 0.784 0.430
0.894 0.358 0.938
```

***

No. 3
Calculated XRD peak list of LaTaBi2O7 for Cu Ka, from a DFT-relaxed cell (PBE, Alexandria).
Lines closer than 0.1° are merged.

Top 10 peaks for 5 to 70 degrees two-theta, low angle first:
Position (°2θ), Rel. int.
27.89, 94
28.07, 100
32.26, 26
32.51, 49
46.44, 75
46.87, 14
54.89, 15
54.99, 16
55.11, 31
55.42, 29

Structure:
```
LaTaBi2O7
1.0
-3.877 3.914 5.551
3.877 -3.914 5.551
3.877 3.914 -5.551
La Ta Bi O
2 2 4 14
Direct
0.500 0.000 0.000
0.500 0.500 0.500
0.000 0.000 0.000
0.500 0.000 0.500
0.000 0.000 0.500
0.000 0.500 0.000
0.000 0.500 0.500
0.500 0.500 0.000
0.114 0.314 0.181
0.114 0.933 0.800
0.118 0.368 0.750
0.274 0.024 0.250
0.366 0.067 0.681
0.366 0.686 0.300
0.380 0.630 0.750
0.620 0.370 0.250
0.634 0.314 0.700
0.634 0.933 0.319
0.726 0.976 0.750
0.882 0.632 0.250
0.886 0.067 0.200
0.886 0.686 0.819
```

***

No. 4
Calculated XRD peak list of LaTi6Bi7O24 for Cu Ka, from a DFT-relaxed cell (PBE, Alexandria).
Lines closer than 0.1° are merged.

Top 10 peaks for 5 to 70 degrees two-theta, low angle first:
Position (°2θ), Rel. int.
15.79, 14
23.07, 22
29.58, 100
32.49, 18
32.78, 18
37.41, 14
46.77, 15
46.84, 11
50.56, 11
56.55, 16

Structure:
```
LaTi6Bi7O24
1.0
5.465 0.000 0.000
0.006 5.512 0.000
0.001 2.704 16.832
La Ti Bi O
1 6 7 24
Direct
0.000 0.000 0.000
0.008 0.413 0.128
0.011 0.677 0.618
0.015 0.546 0.877
0.504 0.924 0.128
0.506 0.049 0.876
0.507 0.177 0.618
0.002 0.162 0.740
0.031 0.339 0.447
0.486 0.840 0.447
0.505 0.519 0.008
0.514 0.663 0.740
0.534 0.421 0.293
0.984 0.920 0.294
0.068 0.722 0.515
0.081 0.453 0.992
0.213 0.227 0.863
0.219 0.118 0.124
0.241 0.909 0.654
0.249 0.105 0.371
0.267 0.606 0.371
0.277 0.409 0.655
0.294 0.619 0.120
0.300 0.733 0.860
0.442 0.940 0.991
0.449 0.222 0.515
0.574 0.854 0.233
0.578 0.060 0.762
0.724 0.870 0.630
0.727 0.284 0.897
0.730 0.190 0.094
0.750 0.104 0.373
0.767 0.604 0.373
0.780 0.687 0.092
0.794 0.370 0.629
0.796 0.790 0.896
0.940 0.557 0.762
0.941 0.359 0.232
```

***

No. 5
Calculated XRD peak list of LaTi3Bi3O12 for Cu Ka, from a DFT-relaxed cell (PBE, Alexandria).
Lines closer than 0.1° are merged.

Top 10 peaks for 5 to 70 degrees two-theta, low angle first:
Position (°2θ), Rel. int.
15.81, 25
23.15, 35
29.59, 100
29.72, 92
32.65, 34
32.85, 36
39.37, 24
46.99, 42
50.65, 28
56.61, 27

Structure:
```
LaTi3Bi3O12
1.0
17.021 0.000 0.000
0.000 5.453 0.000
-0.851 0.000 5.418
La Ti Bi O
2 6 6 24
Direct
0.000 0.247 0.000
0.000 0.753 0.500
0.125 0.251 0.560
0.125 0.749 0.060
0.616 0.251 0.299
0.616 0.749 0.799
0.870 0.253 0.419
0.870 0.747 0.919
0.294 0.273 0.065
0.294 0.727 0.565
0.448 0.227 0.640
0.448 0.773 0.140
0.738 0.253 0.813
0.738 0.747 0.313
0.089 0.496 0.294
0.089 0.504 0.794
0.110 0.008 0.812
0.110 0.992 0.312
0.229 0.307 0.620
0.229 0.693 0.120
0.369 0.009 0.875
0.369 0.991 0.375
0.372 0.492 0.375
0.372 0.508 0.875
0.512 0.186 0.255
0.512 0.814 0.755
0.622 0.448 0.621
0.622 0.552 0.121
0.651 0.032 0.057
0.651 0.968 0.557
0.753 0.326 0.407
0.753 0.674 0.907
0.854 0.044 0.141
0.854 0.956 0.641
0.886 0.455 0.745
0.886 0.545 0.245
0.983 0.195 0.491
0.983 0.805 0.991
```

***

No. 6
Calculated XRD peak list of LaUBiO2 for Cu Ka, from a DFT-relaxed cell (PBE, Alexandria).
Lines closer than 0.1° are merged.

Top 10 peaks for 5 to 70 degrees two-theta, low angle first:
Position (°2θ), Rel. int.
13.44, 5
30.19, 100
31.56, 41
41.11, 9
45.24, 19
52.73, 22
55.35, 38
62.75, 14
65.90, 6
68.21, 8

Structure:
```
LaUBiO2
1.0
-2.004 2.004 6.587
2.004 -2.004 6.587
2.004 2.004 -6.587
La U Bi O
1 1 1 2
Direct
0.000 0.000 0.000
0.311 0.311 0.000
0.658 0.658 0.000
0.393 0.893 0.500
0.893 0.393 0.500
```

***

No. 7
Calculated XRD peak list of La3Bi2P for Cu Ka, from a DFT-relaxed cell (PBE, Alexandria).
Lines closer than 0.1° are merged.

Top 10 peaks for 5 to 70 degrees two-theta, low angle first:
Position (°2θ), Rel. int.
12.29, 7
27.67, 100
39.36, 13
39.51, 51
39.75, 13
48.77, 13
49.09, 13
57.18, 9
64.57, 12
64.66, 11

Structure:
```
La3Bi2P
1.0
0.000 6.457 13.607
4.578 0.000 13.607
4.578 6.457 0.000
La Bi P
12 8 4
Direct
0.038 0.537 0.194
0.102 0.648 0.648
0.194 0.732 0.038
0.268 0.806 0.463
0.352 0.898 0.898
0.463 0.962 0.268
0.537 0.038 0.732
0.648 0.102 0.102
0.732 0.194 0.537
0.806 0.268 0.962
0.898 0.352 0.352
0.962 0.463 0.806
0.127 0.127 0.623
0.295 0.295 0.455
0.377 0.377 0.873
0.455 0.455 0.295
0.545 0.545 0.705
0.623 0.623 0.127
0.705 0.705 0.545
0.873 0.873 0.377
0.041 0.041 0.209
0.209 0.209 0.041
0.791 0.791 0.959
0.959 0.959 0.791
```

***

No. 8
Calculated XRD peak list of Sr2La2Bi2P for Cu Ka, from a DFT-relaxed cell (PBE, Alexandria).
Lines closer than 0.1° are merged.

Top 10 peaks for 5 to 70 degrees two-theta, low angle first:
Position (°2θ), Rel. int.
16.74, 23
22.62, 25
24.86, 48
30.32, 32
30.66, 100
32.20, 71
44.81, 22
45.20, 21
46.19, 26
56.46, 37

Structure:
```
Sr2La2Bi2P
1.0
-2.780 2.780 8.694
2.780 -2.780 8.694
2.780 2.780 -8.694
Sr La Bi P
2 2 2 1
Direct
0.175 0.175 0.000
0.825 0.825 0.000
0.000 0.500 0.500
0.500 0.000 0.500
0.370 0.370 0.000
0.630 0.630 0.000
0.000 0.000 0.000
```